Structure and simulated powder diffraction line list of NaHIrN (a crystal structure in Alexandria, relaxed with GGA-PBE; copper Kα).
No peak broadening, texture or thermal motion is included.

Top 10 peaks for 5 to 70 degrees two-theta, in order of rising 2θ:
2θ (°), Rel. int., h k l
19.52, 100.0, 0 1 0
22.66, 45.7, 1 0 0
30.08, 82.8, 1 1 0
31.28, 30.3, 0 0 1
37.14, 61.1, 0 1 1
38.97, 42.8, 1 0 1
39.63, 26.3, 0 2 0
43.95, 37.0, 1 1 1
56.80, 29.2, 1 2 1
60.77, 28.6, 2 1 1

Atomic structure:
```
data_NaHIrN
_chemical_formula_sum 'Na1 H1 Ir1 N1'
_cell_length_a 3.9235
_cell_length_b 4.5485
_cell_length_c 2.8596
_cell_angle_alpha 90.00
_cell_angle_beta 90.00
_cell_angle_gamma 90.00
_symmetry_space_group_name_H-M 'P m m 2'
_symmetry_Int_Tables_number 25
_symmetry_space_group_name_Hall 'P 2 -2'
loop_
_atom_site_label
_atom_site_fract_x
_atom_site_fract_y
_atom_site_fract_z
Na1 0.0000 0.0000 0.0000
H1 0.0000 0.5000 0.1497
Ir1 0.5000 0.5000 0.5525
N1 0.0000 0.5000 0.5157
```